TbPrGa2Pt4: calculated powder X-ray diffraction pattern (copper Kα), based on a crystal structure in OQMD, relaxed with GGA-PBE.

Structure:
Cell lengths 4.4111, 4.4111, 9.3847 Å; angles 90.00, 90.00, 120.00 degrees
Atoms (fractional coordinates):
Tb  0.0000  0.0000  0.0000
Pr  0.6667  0.3333  0.5000
Ga  0.3333  0.6667  0.2440
Ga  0.3333  0.6667  0.7560
Pt  0.0000  0.0000  0.3192
Pt  0.0000  0.0000  0.6808
Pt  0.6667  0.3333  0.1626
Pt  0.6667  0.3333  0.8374

Top 12 peaks for 2θ = 10–80°, in order of rising 2θ:
- 2θ = 18.9°, d = 4.692 Å, I = 7.7
- 2θ = 23.3°, d = 3.820 Å, I = 29.5
- 2θ = 37.1°, d = 2.420 Å, I = 100.0
- 2θ = 40.9°, d = 2.206 Å, I = 68.0
- 2θ = 45.4°, d = 1.997 Å, I = 7.9
- 2θ = 47.6°, d = 1.910 Å, I = 4.5
- 2θ = 56.4°, d = 1.630 Å, I = 30.2
- 2θ = 64.4°, d = 1.447 Å, I = 10.2
- 2θ = 72.0°, d = 1.311 Å, I = 29.4
- 2θ = 74.3°, d = 1.276 Å, I = 12.3
- 2θ = 74.5°, d = 1.273 Å, I = 11.7
- 2θ = 79.1°, d = 1.210 Å, I = 5.7

***

Ni21SnB20: calculated powder X-ray diffraction pattern (copper Kα), based on a crystal structure in OQMD, relaxed with GGA-PBE.

Structure:
Cell lengths 7.1860, 7.1860, 7.1860 Å; angles 90.00, 90.00, 90.00 degrees
Atoms (fractional coordinates):
Ni  0.0000  0.0000  0.2677
Ni  0.0000  0.0000  0.7323
Ni  0.0000  0.2677  0.0000
Ni  0.0000  0.5000  0.5000
Ni  0.0000  0.7323  0.0000
Ni  0.2098  0.2098  0.5000
Ni  0.2098  0.5000  0.2098
Ni  0.2098  0.5000  0.7902
Ni  0.2098  0.7902  0.5000
Ni  0.2677  0.0000  0.0000
Ni  0.5000  0.0000  0.5000
Ni  0.5000  0.2098  0.2098
Ni  0.5000  0.2098  0.7902
Ni  0.5000  0.5000  0.0000
Ni  0.5000  0.7902  0.2098
Ni  0.5000  0.7902  0.7902
Ni  0.7323  0.0000  0.0000
Ni  0.7902  0.2098  0.5000
Ni  0.7902  0.5000  0.2098
Ni  0.7902  0.5000  0.7902
Ni  0.7902  0.7902  0.5000
Sn  0.5000  0.5000  0.5000
B  0.0000  0.3008  0.3008
B  0.0000  0.3008  0.6992
B  0.0000  0.6992  0.3008
B  0.0000  0.6992  0.6992
B  0.2071  0.2071  0.2071
B  0.2071  0.2071  0.7929
B  0.2071  0.7929  0.2071
B  0.2071  0.7929  0.7929
B  0.3008  0.0000  0.3008
B  0.3008  0.0000  0.6992
B  0.3008  0.3008  0.0000
B  0.3008  0.6992  0.0000
B  0.6992  0.0000  0.3008
B  0.6992  0.0000  0.6992
B  0.6992  0.3008  0.0000
B  0.6992  0.6992  0.0000
B  0.7929  0.2071  0.2071
B  0.7929  0.2071  0.7929
B  0.7929  0.7929  0.2071
B  0.7929  0.7929  0.7929

Top 12 peaks for 2θ = 10–80°, in order of rising 2θ:
- 2θ = 24.8°, d = 3.593 Å, I = 3.7
- 2θ = 37.5°, d = 2.395 Å, I = 100.0
- 2θ = 39.7°, d = 2.272 Å, I = 11.7
- 2θ = 43.6°, d = 2.074 Å, I = 11.5
- 2θ = 47.3°, d = 1.921 Å, I = 6.5
- 2θ = 50.8°, d = 1.797 Å, I = 29.7
- 2θ = 52.5°, d = 1.743 Å, I = 7.1
- 2θ = 54.1°, d = 1.694 Å, I = 21.1
- 2θ = 66.3°, d = 1.409 Å, I = 3.5
- 2θ = 74.7°, d = 1.270 Å, I = 11.6
- 2θ = 76.1°, d = 1.251 Å, I = 21.1
- 2θ = 77.4°, d = 1.232 Å, I = 7.6

***

BaNiN2: calculated powder X-ray diffraction pattern (copper Kα), based on a crystal structure in OQMD, relaxed with GGA-PBE.

Structure:
Cell lengths 6.3254, 6.3254, 7.6965 Å; angles 90.00, 90.00, 125.56 degrees
Atoms (fractional coordinates):
Ba  0.1609  0.8391  0.9336
Ba  0.3391  0.6609  0.4336
Ba  0.6609  0.3391  0.5664
Ba  0.8391  0.1609  0.0664
Ni  0.0561  0.9439  0.3601
Ni  0.4439  0.5561  0.8601
Ni  0.5561  0.4439  0.1399
Ni  0.9439  0.0561  0.6399
N  0.1097  0.8903  0.5891
N  0.1387  0.3613  0.7500
N  0.3613  0.1387  0.2500
N  0.3903  0.6097  0.0891
N  0.6097  0.3903  0.9109
N  0.6387  0.8613  0.7500
N  0.8613  0.6387  0.2500
N  0.8903  0.1097  0.4109

Top 12 peaks for 2θ = 10–80°, in order of rising 2θ:
- 2θ = 23.1°, d = 3.848 Å, I = 12.9
- 2θ = 29.0°, d = 3.082 Å, I = 60.1
- 2θ = 30.7°, d = 2.913 Å, I = 100.0
- 2θ = 30.9°, d = 2.893 Å, I = 52.9
- 2θ = 33.9°, d = 2.642 Å, I = 18.5
- 2θ = 36.9°, d = 2.437 Å, I = 14.8
- 2θ = 38.6°, d = 2.334 Å, I = 20.5
- 2θ = 38.9°, d = 2.313 Å, I = 13.0
- 2θ = 39.2°, d = 2.296 Å, I = 16.6
- 2θ = 50.6°, d = 1.802 Å, I = 12.6
- 2θ = 54.8°, d = 1.674 Å, I = 19.3
- 2θ = 58.2°, d = 1.585 Å, I = 14.4

***

AgI: calculated powder X-ray diffraction pattern (copper Kα), based on a crystal structure in OQMD, relaxed with GGA-PBE.

Structure:
Cell lengths 4.6288, 4.6288, 4.6288 Å; angles 60.00, 60.00, 60.00 degrees
Atoms (fractional coordinates):
Ag  0.0000  0.0000  0.0000
I  0.7500  0.7500  0.7500

Top 7 peaks for 2θ = 10–80°, in order of rising 2θ:
- 2θ = 23.5°, d = 3.779 Å, I = 100.0
- 2θ = 38.9°, d = 2.314 Å, I = 78.9
- 2θ = 46.0°, d = 1.974 Å, I = 48.5
- 2θ = 56.2°, d = 1.637 Å, I = 13.1
- 2θ = 61.8°, d = 1.502 Å, I = 19.6
- 2θ = 70.5°, d = 1.336 Å, I = 26.2
- 2θ = 75.5°, d = 1.260 Å, I = 14.5

***

La2Pr2CCl5: calculated powder X-ray diffraction pattern (copper Kα), based on a crystal structure in OQMD, relaxed with GGA-PBE.

Structure:
Cell lengths 9.2190, 9.2190, 8.1745 Å; angles 104.90, 104.90, 24.73 degrees
Atoms (fractional coordinates):
La  0.1480  0.1480  0.0917
La  0.8520  0.8520  0.9083
Pr  0.4984  0.4984  0.2142
Pr  0.5016  0.5016  0.7858
C  0.0000  0.0000  0.0000
Cl  0.0000  0.0000  0.5000
Cl  0.3308  0.3308  0.1581
Cl  0.3377  0.3377  0.6479
Cl  0.6623  0.6623  0.3521
Cl  0.6692  0.6692  0.8419

Top 12 peaks for 2θ = 10–80°, in order of rising 2θ:
- 2θ = 10.2°, d = 8.688 Å, I = 44.6
- 2θ = 11.2°, d = 7.886 Å, I = 76.3
- 2θ = 27.3°, d = 3.262 Å, I = 33.3
- 2θ = 28.0°, d = 3.186 Å, I = 17.5
- 2θ = 30.9°, d = 2.896 Å, I = 48.5
- 2θ = 31.2°, d = 2.868 Å, I = 26.1
- 2θ = 31.5°, d = 2.839 Å, I = 100.0
- 2θ = 34.4°, d = 2.609 Å, I = 16.1
- 2θ = 44.1°, d = 2.054 Å, I = 28.0
- 2θ = 45.3°, d = 2.001 Å, I = 34.3
- 2θ = 46.0°, d = 1.974 Å, I = 18.7
- 2θ = 56.4°, d = 1.631 Å, I = 22.1

***

Li4HfSiO6: calculated powder X-ray diffraction pattern (copper Kα), based on a crystal structure in OQMD, relaxed with GGA-PBE.

Structure:
Cell lengths 5.0887, 5.0887, 5.0298 Å; angles 99.25, 99.25, 120.41 degrees
Atoms (fractional coordinates):
Li  0.0000  0.0000  0.0000
Li  0.3750  0.6250  0.0000
Li  0.6793  0.3207  0.0000
Li  0.8483  0.1517  0.5000
Hf  0.1830  0.8170  0.5000
Si  0.5160  0.4840  0.5000
O  0.1505  0.4204  0.2739
O  0.2949  0.2571  0.7182
O  0.4331  0.1157  0.2748
O  0.5796  0.8495  0.7261
O  0.7429  0.7051  0.2818
O  0.8843  0.5669  0.7252

Top 12 peaks for 2θ = 10–80°, in order of rising 2θ:
- 2θ = 18.6°, d = 4.759 Å, I = 100.0
- 2θ = 20.1°, d = 4.416 Å, I = 42.9
- 2θ = 21.1°, d = 4.207 Å, I = 78.2
- 2θ = 23.9°, d = 3.721 Å, I = 60.8
- 2θ = 27.6°, d = 3.237 Å, I = 43.8
- 2θ = 32.2°, d = 2.784 Å, I = 30.0
- 2θ = 35.8°, d = 2.507 Å, I = 30.6
- 2θ = 37.6°, d = 2.392 Å, I = 19.9
- 2θ = 37.8°, d = 2.381 Å, I = 26.2
- 2θ = 43.6°, d = 2.078 Å, I = 47.4
- 2θ = 44.1°, d = 2.051 Å, I = 22.8
- 2θ = 49.0°, d = 1.859 Å, I = 18.2

***

GdY2Sn5Pb2: calculated powder X-ray diffraction pattern (copper Kα), based on a crystal structure in OQMD, relaxed with GGA-PBE.

Structure:
Cell lengths 13.5449, 13.5449, 4.4899 Å; angles 90.00, 90.00, 160.96 degrees
Atoms (fractional coordinates):
Gd  0.0000  0.0000  0.0000
Y  0.3090  0.6910  0.5000
Y  0.6910  0.3090  0.5000
Sn  0.2113  0.7887  0.0000
Sn  0.4032  0.5968  0.0000
Sn  0.5000  0.5000  0.5000
Sn  0.5968  0.4032  0.0000
Sn  0.7887  0.2113  0.0000
Pb  0.0975  0.9025  0.5000
Pb  0.9025  0.0975  0.5000

Top 12 peaks for 2θ = 10–80°, in order of rising 2θ:
- 2θ = 20.1°, d = 4.418 Å, I = 2.4
- 2θ = 23.9°, d = 3.726 Å, I = 5.1
- 2θ = 32.8°, d = 2.727 Å, I = 100.0
- 2θ = 33.5°, d = 2.672 Å, I = 21.1
- 2θ = 36.3°, d = 2.475 Å, I = 3.3
- 2θ = 40.2°, d = 2.242 Å, I = 30.1
- 2θ = 53.3°, d = 1.718 Å, I = 23.2
- 2θ = 58.2°, d = 1.586 Å, I = 10.4
- 2θ = 59.5°, d = 1.553 Å, I = 13.8
- 2θ = 68.4°, d = 1.372 Å, I = 12.5
- 2θ = 68.5°, d = 1.370 Å, I = 12.4
- 2θ = 68.9°, d = 1.364 Å, I = 10.9

***

GdDy2Mg3In2Hg: calculated powder X-ray diffraction pattern (copper Kα), based on a crystal structure in OQMD, relaxed with GGA-PBE.

Structure:
Cell lengths 4.6252, 7.5367, 7.5367 Å; angles 120.24, 90.00, 90.00 degrees
Atoms (fractional coordinates):
Gd  0.0000  0.0000  0.0000
Dy  0.0000  0.4208  0.8417
Dy  0.0000  0.8417  0.4208
Mg  0.5000  0.1827  0.4213
Mg  0.5000  0.4213  0.1827
Mg  0.5000  0.6604  0.6604
In  0.5000  0.0882  0.7534
In  0.5000  0.7534  0.0882
Hg  0.0000  0.4234  0.4234

Top 12 peaks for 2θ = 10–80°, in order of rising 2θ:
- 2θ = 19.2°, d = 4.625 Å, I = 18.7
- 2θ = 23.6°, d = 3.770 Å, I = 33.6
- 2θ = 27.4°, d = 3.256 Å, I = 18.6
- 2θ = 30.6°, d = 2.919 Å, I = 42.9
- 2θ = 33.6°, d = 2.664 Å, I = 100.0
- 2θ = 38.9°, d = 2.313 Å, I = 24.0
- 2θ = 41.5°, d = 2.177 Å, I = 24.8
- 2θ = 41.6°, d = 2.171 Å, I = 22.2
- 2θ = 48.3°, d = 1.885 Å, I = 19.9
- 2θ = 65.5°, d = 1.426 Å, I = 16.4
- 2θ = 65.6°, d = 1.424 Å, I = 12.9
- 2θ = 67.2°, d = 1.394 Å, I = 13.5

***

TbTc5I2: calculated powder X-ray diffraction pattern (copper Kα), based on a crystal structure in OQMD, relaxed with GGA-PBE.

Structure:
Cell lengths 3.8604, 3.8604, 11.9628 Å; angles 90.00, 90.00, 90.00 degrees
Atoms (fractional coordinates):
Tb  0.0000  0.0000  0.0000
Tc  0.0000  0.5000  0.1872
Tc  0.0000  0.5000  0.8128
Tc  0.5000  0.0000  0.1872
Tc  0.5000  0.0000  0.8128
Tc  0.5000  0.5000  0.0000
I  0.5000  0.5000  0.3572
I  0.5000  0.5000  0.6428

Top 12 peaks for 2θ = 10–80°, in order of rising 2θ:
- 2θ = 23.0°, d = 3.860 Å, I = 11.3
- 2θ = 24.2°, d = 3.674 Å, I = 23.1
- 2θ = 36.2°, d = 2.483 Å, I = 42.9
- 2θ = 37.6°, d = 2.393 Å, I = 19.1
- 2θ = 38.1°, d = 2.364 Å, I = 12.6
- 2θ = 40.0°, d = 2.253 Å, I = 100.0
- 2θ = 45.5°, d = 1.994 Å, I = 11.6
- 2θ = 47.1°, d = 1.930 Å, I = 35.3
- 2θ = 61.7°, d = 1.502 Å, I = 17.5
- 2θ = 67.5°, d = 1.387 Å, I = 14.0
- 2θ = 68.8°, d = 1.365 Å, I = 11.1
- 2θ = 72.0°, d = 1.311 Å, I = 15.6

***

NbBi2O5F: calculated powder X-ray diffraction pattern (copper Kα), based on a crystal structure in OQMD, relaxed with GGA-PBE.

Structure:
Cell lengths 5.4161, 16.5437, 5.3926 Å; angles 90.00, 90.00, 90.00 degrees
Atoms (fractional coordinates):
Nb  0.0093  0.2474  0.0000
Nb  0.4907  0.2474  0.5000
Nb  0.5093  0.7526  0.0000
Nb  0.9907  0.7526  0.5000
Bi  0.0035  0.5773  0.0056
Bi  0.0176  0.0776  0.5123
Bi  0.4824  0.0776  0.0123
Bi  0.4965  0.5773  0.5056
Bi  0.5035  0.4227  0.0056
Bi  0.5176  0.9224  0.5123
Bi  0.9824  0.9224  0.0123
Bi  0.9965  0.4227  0.5056
O  0.0662  0.1357  0.9800
O  0.1980  0.2806  0.6914
O  0.2025  0.7513  0.7903
O  0.2472  0.9982  0.2545
O  0.2487  0.4958  0.2510
O  0.2513  0.4958  0.7510
O  0.2528  0.9982  0.7545
O  0.2975  0.7513  0.2903
O  0.3020  0.2806  0.1914
O  0.4338  0.1357  0.4800
O  0.5662  0.8643  0.9800
O  0.6980  0.7194  0.6914
O  0.7025  0.2487  0.7903
O  0.7472  0.0018  0.2545
O  0.7487  0.5042  0.2510
O  0.7513  0.5042  0.7510
O  0.7528  0.0018  0.7545
O  0.7975  0.2487  0.2903
O  0.8020  0.7194  0.1914
O  0.9338  0.8643  0.4800
F  0.0470  0.6205  0.4994
F  0.4530  0.6205  0.9994
F  0.5470  0.3795  0.4994
F  0.9530  0.3795  0.9994

Top 12 peaks for 2θ = 10–80°, in order of rising 2θ:
- 2θ = 10.7°, d = 8.272 Å, I = 17.1
- 2θ = 28.4°, d = 3.141 Å, I = 100.0
- 2θ = 32.5°, d = 2.757 Å, I = 18.3
- 2θ = 33.1°, d = 2.708 Å, I = 16.4
- 2θ = 33.2°, d = 2.696 Å, I = 17.1
- 2θ = 47.0°, d = 1.932 Å, I = 14.3
- 2θ = 47.1°, d = 1.928 Å, I = 14.4
- 2θ = 47.6°, d = 1.911 Å, I = 18.1
- 2θ = 55.5°, d = 1.656 Å, I = 17.8
- 2θ = 56.3°, d = 1.635 Å, I = 15.9
- 2θ = 56.5°, d = 1.630 Å, I = 15.9
- 2θ = 58.8°, d = 1.571 Å, I = 13.5

***

ZnCu2NiTe4: calculated powder X-ray diffraction pattern (copper Kα), based on a crystal structure in OQMD, relaxed with GGA-PBE.

Structure:
Cell lengths 7.2122, 7.2122, 7.2122 Å; angles 131.43, 131.43, 71.14 degrees
Atoms (fractional coordinates):
Zn  0.0000  0.0000  0.0000
Cu  0.2500  0.7500  0.5000
Cu  0.7500  0.2500  0.5000
Ni  0.5000  0.5000  0.0000
Te  0.1384  0.6104  0.0000
Te  0.3896  0.3896  0.5280
Te  0.6104  0.1384  0.0000
Te  0.8616  0.8616  0.4720

Top 12 peaks for 2θ = 10–80°, in order of rising 2θ:
- 2θ = 26.1°, d = 3.412 Å, I = 100.0
- 2θ = 30.1°, d = 2.966 Å, I = 4.8
- 2θ = 43.1°, d = 2.098 Å, I = 23.0
- 2θ = 43.4°, d = 2.086 Å, I = 46.1
- 2θ = 51.1°, d = 1.787 Å, I = 29.4
- 2θ = 51.6°, d = 1.772 Å, I = 15.0
- 2θ = 62.6°, d = 1.483 Å, I = 7.0
- 2θ = 63.4°, d = 1.467 Å, I = 3.7
- 2θ = 69.0°, d = 1.360 Å, I = 5.5
- 2θ = 69.4°, d = 1.354 Å, I = 11.4
- 2θ = 79.3°, d = 1.209 Å, I = 13.6
- 2θ = 79.8°, d = 1.202 Å, I = 7.1